Record 1
This entry pairs a crystal structure of RbBaAgO2 with its calculated powder diffractogram. Radiation: Cu Kα (λ = 1.5418 Å). Structure: a structure optimized by DFT (GGA-PBE).
Lines closer than 0.1° are merged.

The 10 most intense peaks (15° ≤ 2θ ≤ 90°), in order of falling intensity:
two_theta  d [Å]  intensity
27.05  3.296  100.0
37.46  2.401  89.0
25.41  3.505  60.6
29.96  2.983  44.5
39.01  2.309  33.4
52.14  1.754  30.5
29.10  3.069  26.8
31.83  2.811  24.5
59.77  1.547  22.1
19.22  4.618  21.9

Atomic structure:
a = 8.025 Å, b = 8.025 Å, c = 6.138 Å
α = 90.00°, β = 90.00°, γ = 121.72°
Sites, in units of the cell vectors:
Rb (0.250, 0.750, 0.910)
Rb (0.750, 0.250, 0.090)
Ba (0.250, 0.250, 0.500)
Ba (0.750, 0.750, 0.500)
Ag (0.000, 0.000, 0.000)
Ag (0.500, 0.500, 0.000)
O (0.080, 0.920, 0.717)
O (0.420, 0.580, 0.717)
O (0.580, 0.420, 0.283)
O (0.920, 0.080, 0.283)

***

Record 2
This entry pairs a crystal structure of Ba4AgRh3O12 with its calculated powder diffractogram. Radiation: Cu Kα (λ = 1.5418 Å). Structure: a structure optimized by DFT (GGA-PBE).
Lines closer than 0.1° are merged.

The 9 most intense peaks (15° ≤ 2θ ≤ 90°), in order of falling intensity:
two_theta  d [Å]  intensity
30.47  2.933  100.0
54.15  1.694  39.4
43.64  2.074  30.2
88.10  1.109  21.1
63.42  1.467  18.5
71.98  1.312  17.3
80.14  1.198  6.1
37.55  2.395  4.0
76.10  1.251  1.1

Atomic structure:
a = 7.186 Å, b = 7.186 Å, c = 7.186 Å
α = 109.47°, β = 109.47°, γ = 109.47°
Sites, in units of the cell vectors:
Ba (0.000, 0.000, 0.500)
Ba (0.000, 0.500, 0.000)
Ba (0.500, 0.000, 0.000)
Ba (0.500, 0.500, 0.500)
Ag (0.000, 0.000, 0.000)
Rh (0.000, 0.500, 0.500)
Rh (0.500, 0.000, 0.500)
Rh (0.500, 0.500, 0.000)
O (0.000, 0.267, 0.267)
O (0.000, 0.733, 0.733)
O (0.250, 0.500, 0.750)
O (0.250, 0.750, 0.500)
O (0.267, 0.000, 0.267)
O (0.267, 0.267, 0.000)
O (0.500, 0.250, 0.750)
O (0.500, 0.750, 0.250)
O (0.733, 0.000, 0.733)
O (0.733, 0.733, 0.000)
O (0.750, 0.250, 0.500)
O (0.750, 0.500, 0.250)

***

Record 3
This entry pairs a crystal structure of BaAgRu2O8 with its calculated powder diffractogram. Radiation: Cu Kα (λ = 1.5418 Å). Structure: a structure optimized by DFT (GGA-PBE).
Lines closer than 0.1° are merged.

The 10 most intense peaks (15° ≤ 2θ ≤ 90°), in order of falling intensity:
two_theta  d [Å]  intensity
27.52  3.241  100.0
28.74  3.107  63.2
33.34  2.687  56.1
28.89  3.091  51.3
54.10  1.695  46.6
21.01  4.228  46.6
19.84  4.476  40.3
21.93  4.052  29.4
44.69  2.028  27.1
20.20  4.397  25.0

Atomic structure:
a = 5.450 Å, b = 5.450 Å, c = 8.138 Å
α = 93.61°, β = 93.61°, γ = 69.09°
Sites, in units of the cell vectors:
Ba (0.000, 0.000, 0.000)
Ag (0.000, 0.000, 0.500)
Ru (0.377, 0.377, 0.728)
Ru (0.623, 0.623, 0.272)
O (0.243, 0.728, 0.726)
O (0.247, 0.247, 0.554)
O (0.272, 0.757, 0.274)
O (0.291, 0.291, 0.919)
O (0.709, 0.709, 0.081)
O (0.728, 0.243, 0.726)
O (0.753, 0.753, 0.446)
O (0.757, 0.272, 0.274)

***

Record 4
This entry pairs a crystal structure of BaAgS2O6 with its calculated powder diffractogram. Radiation: Cu Kα (λ = 1.5418 Å). Structure: a structure optimized by DFT (GGA-PBE).
Lines closer than 0.1° are merged.

The 10 most intense peaks (15° ≤ 2θ ≤ 90°), in order of falling intensity:
two_theta  d [Å]  intensity
26.28  3.391  100.0
32.01  2.796  41.8
20.59  4.315  33.6
43.16  2.096  28.0
42.38  2.133  20.5
53.66  1.708  17.7
41.88  2.157  17.6
38.36  2.346  15.9
50.80  1.797  12.7
57.06  1.614  10.8

Atomic structure:
a = 7.109 Å, b = 7.109 Å, c = 7.109 Å
α = 46.32°, β = 46.32°, γ = 46.32°
Sites, in units of the cell vectors:
Ba (0.000, 0.000, 0.000)
Ag (0.500, 0.500, 0.500)
S (0.223, 0.223, 0.223)
S (0.777, 0.777, 0.777)
O (0.023, 0.519, 0.704)
O (0.296, 0.977, 0.481)
O (0.481, 0.296, 0.977)
O (0.519, 0.704, 0.023)
O (0.704, 0.023, 0.519)
O (0.977, 0.481, 0.296)

***

Record 5
This entry pairs a crystal structure of Ba2ZnAg2Se2O2 with its calculated powder diffractogram. Radiation: Cu Kα (λ = 1.5418 Å). Structure: a structure optimized by DFT (GGA-PBE).
Lines closer than 0.1° are merged.

The 10 most intense peaks (15° ≤ 2θ ≤ 90°), in order of falling intensity:
two_theta  d [Å]  intensity
30.12  2.967  100.0
34.10  2.629  90.4
41.55  2.174  77.5
30.38  2.942  63.8
37.27  2.413  51.7
52.16  1.754  40.7
54.18  1.693  32.4
70.54  1.335  29.1
57.03  1.615  28.5
85.30  1.138  26.6

Atomic structure:
a = 10.607 Å, b = 10.607 Å, c = 6.147 Å
α = 90.00°, β = 90.00°, γ = 33.70°
Sites, in units of the cell vectors:
Ba (0.088, 0.088, 0.000)
Ba (0.412, 0.412, 0.500)
Ba (0.588, 0.588, 0.500)
Ba (0.912, 0.912, 0.000)
Zn (0.000, 0.000, 0.500)
Zn (0.500, 0.500, 0.000)
Ag (0.002, 0.498, 0.250)
Ag (0.498, 0.002, 0.750)
Ag (0.502, 0.998, 0.250)
Ag (0.998, 0.502, 0.750)
Se (0.164, 0.164, 0.500)
Se (0.336, 0.336, 0.000)
Se (0.664, 0.664, 0.000)
Se (0.836, 0.836, 0.500)
O (0.215, 0.785, 0.716)
O (0.285, 0.715, 0.216)
O (0.715, 0.285, 0.784)
O (0.785, 0.215, 0.284)

***

Record 6
This entry pairs a crystal structure of Ba2Ag2SnO6 with its calculated powder diffractogram. Radiation: Cu Kα (λ = 1.5418 Å). Structure: a structure optimized by DFT (GGA-PBE).
Lines closer than 0.1° are merged.

The 10 most intense peaks (15° ≤ 2θ ≤ 90°), in order of falling intensity:
two_theta  d [Å]  intensity
28.23  3.161  100.0
31.19  2.867  66.9
51.86  1.763  37.8
42.57  2.124  30.4
49.97  1.825  19.8
58.38  1.581  16.7
57.25  1.609  16.4
67.69  1.384  14.5
72.37  1.306  12.3
80.36  1.195  10.8

Atomic structure:
a = 6.693 Å, b = 6.693 Å, c = 6.693 Å
α = 56.37°, β = 56.37°, γ = 56.37°
Sites, in units of the cell vectors:
Ba (0.215, 0.215, 0.215)
Ba (0.785, 0.785, 0.785)
Ag (0.413, 0.413, 0.413)
Ag (0.587, 0.587, 0.587)
Sn (0.000, 0.000, 0.000)
O (0.201, 0.774, 0.774)
O (0.226, 0.226, 0.799)
O (0.226, 0.799, 0.226)
O (0.774, 0.201, 0.774)
O (0.774, 0.774, 0.201)
O (0.799, 0.226, 0.226)

***

Record 7
This entry pairs a crystal structure of BaSr2AgO4 with its calculated powder diffractogram. Radiation: Cu Kα (λ = 1.5418 Å). Structure: a structure optimized by DFT (GGA-PBE).
Lines closer than 0.1° are merged.

The 10 most intense peaks (15° ≤ 2θ ≤ 90°), in order of falling intensity:
two_theta  d [Å]  intensity
35.41  2.535  100.0
28.48  3.134  93.1
28.88  3.091  90.5
40.72  2.216  28.8
33.10  2.707  27.2
57.82  1.595  25.4
48.99  1.859  25.0
46.06  1.971  24.0
25.62  3.477  22.9
49.18  1.853  21.4

Atomic structure:
a = 6.533 Å, b = 6.533 Å, c = 12.541 Å
α = 90.00°, β = 90.00°, γ = 147.05°
Sites, in units of the cell vectors:
Ba (0.117, 0.883, 0.750)
Ba (0.883, 0.117, 0.250)
Sr (0.372, 0.628, 0.547)
Sr (0.372, 0.628, 0.953)
Sr (0.628, 0.372, 0.047)
Sr (0.628, 0.372, 0.453)
Ag (0.148, 0.852, 0.250)
Ag (0.852, 0.148, 0.750)
O (0.000, 0.000, 0.000)
O (0.000, 0.000, 0.500)
O (0.267, 0.733, 0.119)
O (0.267, 0.733, 0.381)
O (0.454, 0.546, 0.750)
O (0.546, 0.454, 0.250)
O (0.733, 0.267, 0.619)
O (0.733, 0.267, 0.881)

***

Record 8
This entry pairs a crystal structure of Ba2TaAg2O6 with its calculated powder diffractogram. Radiation: Cu Kα (λ = 1.5418 Å). Structure: a structure optimized by DFT (GGA-PBE).
Lines closer than 0.1° are merged.

The 10 most intense peaks (15° ≤ 2θ ≤ 90°), in order of falling intensity:
two_theta  d [Å]  intensity
27.97  3.190  100.0
31.89  2.806  62.1
52.02  1.758  36.5
42.93  2.107  27.4
49.50  1.841  19.8
57.82  1.595  16.2
67.56  1.387  14.1
79.51  1.206  10.7
58.64  1.574  9.4
39.42  2.286  9.3

Atomic structure:
a = 6.561 Å, b = 6.561 Å, c = 6.561 Å
α = 58.17°, β = 58.17°, γ = 58.17°
Sites, in units of the cell vectors:
Ba (0.216, 0.216, 0.216)
Ba (0.784, 0.784, 0.784)
Ta (0.000, 0.000, 0.000)
Ag (0.414, 0.414, 0.414)
Ag (0.586, 0.586, 0.586)
O (0.202, 0.781, 0.781)
O (0.219, 0.219, 0.798)
O (0.219, 0.798, 0.219)
O (0.781, 0.202, 0.781)
O (0.781, 0.781, 0.202)
O (0.798, 0.219, 0.219)

***

Record 9
This entry pairs a crystal structure of Ba4Tc3AgO12 with its calculated powder diffractogram. Radiation: Cu Kα (λ = 1.5418 Å). Structure: a structure optimized by DFT (GGA-PBE).
Lines closer than 0.1° are merged.

The 9 most intense peaks (15° ≤ 2θ ≤ 90°), in order of falling intensity:
two_theta  d [Å]  intensity
30.44  2.937  100.0
54.08  1.696  39.0
43.58  2.077  30.1
87.97  1.110  21.1
63.33  1.468  18.3
71.88  1.313  17.5
80.03  1.199  6.0
37.51  2.398  4.5
75.99  1.252  1.2

Atomic structure:
a = 7.194 Å, b = 7.194 Å, c = 7.194 Å
α = 109.47°, β = 109.47°, γ = 109.47°
Sites, in units of the cell vectors:
Ba (0.000, 0.000, 0.500)
Ba (0.000, 0.500, 0.000)
Ba (0.500, 0.000, 0.000)
Ba (0.500, 0.500, 0.500)
Tc (0.000, 0.500, 0.500)
Tc (0.500, 0.000, 0.500)
Tc (0.500, 0.500, 0.000)
Ag (0.000, 0.000, 0.000)
O (0.000, 0.276, 0.276)
O (0.000, 0.724, 0.724)
O (0.250, 0.500, 0.750)
O (0.250, 0.750, 0.500)
O (0.276, 0.000, 0.276)
O (0.276, 0.276, 0.000)
O (0.500, 0.250, 0.750)
O (0.500, 0.750, 0.250)
O (0.724, 0.000, 0.724)
O (0.724, 0.724, 0.000)
O (0.750, 0.250, 0.500)
O (0.750, 0.500, 0.250)

***

Record 10
This entry pairs a crystal structure of Ba2TmAgO4 with its calculated powder diffractogram. Radiation: Cu Kα (λ = 1.5418 Å). Structure: a structure optimized by DFT (GGA-PBE).
Lines closer than 0.1° are merged.

The 10 most intense peaks (15° ≤ 2θ ≤ 90°), in order of falling intensity:
two_theta  d [Å]  intensity
27.66  3.225  100.0
53.85  1.702  30.4
46.32  1.960  28.6
31.56  2.835  27.4
45.24  2.005  15.2
55.75  1.649  14.0
33.01  2.713  12.0
74.51  1.273  11.8
57.13  1.612  10.8
84.31  1.149  9.3

Atomic structure:
a = 6.747 Å, b = 6.747 Å, c = 6.747 Å
α = 130.31°, β = 130.31°, γ = 72.91°
Sites, in units of the cell vectors:
Ba (0.000, 0.000, 0.000)
Ba (0.750, 0.250, 0.500)
Tm (0.500, 0.500, 0.000)
Ag (0.250, 0.750, 0.500)
O (0.180, 0.162, 0.568)
O (0.388, 0.820, 0.982)
O (0.594, 0.612, 0.432)
O (0.838, 0.406, 0.018)

***

Record 11
This entry pairs a crystal structure of Ba3U2AgO9 with its calculated powder diffractogram. Radiation: Cu Kα (λ = 1.5418 Å). Structure: a structure optimized by DFT (GGA-PBE).
Lines closer than 0.1° are merged.

The 10 most intense peaks (15° ≤ 2θ ≤ 90°), in order of falling intensity:
two_theta  d [Å]  intensity
28.41  3.141  100.0
28.64  3.117  97.2
40.78  2.213  54.8
50.59  1.804  41.9
20.06  4.425  21.3
50.72  1.800  20.3
67.03  1.396  18.8
50.17  1.818  18.1
59.29  1.559  17.6
66.68  1.403  16.2

Atomic structure:
a = 6.235 Å, b = 6.235 Å, c = 7.724 Å
α = 90.00°, β = 90.00°, γ = 120.00°
Sites, in units of the cell vectors:
Ba (0.000, 0.000, 0.000)
Ba (0.333, 0.667, 0.636)
Ba (0.667, 0.333, 0.364)
U (0.333, 0.667, 0.163)
U (0.667, 0.333, 0.837)
Ag (0.000, 0.000, 0.500)
O (0.000, 0.500, 0.000)
O (0.179, 0.358, 0.317)
O (0.179, 0.821, 0.317)
O (0.358, 0.179, 0.683)
O (0.500, 0.000, 0.000)
O (0.500, 0.500, 0.000)
O (0.642, 0.821, 0.317)
O (0.821, 0.179, 0.683)
O (0.821, 0.642, 0.683)